Starting from a DFT-relaxed cell (PBE, Alexandria), the XRD peak list of Mg2Zn3In was simulated for λ = 1.5418 Å (Cu Kα).
Intensities are scaled so that the largest is 100.

Most intense lines, 2θ = 5–70°, most intense first:
36.29°, rel. 100; 20.96°, rel. 80; 28.36°, rel. 63; 46.98°, rel. 61; 32.76°, rel. 49; 41.35°, rel. 42; 41.57°, rel. 40; 50.90°, rel. 24; 38.08°, rel. 23; 46.03°, rel. 20

Crystal structure
abc: 3.199 4.367 17.527
angles: 90.00 90.00 90.00
Element x y z (fractional)
Mg (0.000, 0.000, 0.000)
Mg (0.000, 0.500, 0.293)
Mg (0.500, 0.000, 0.793)
Mg (0.500, 0.500, 0.500)
Zn (0.000, 0.000, 0.462)
Zn (0.000, 0.500, 0.711)
Zn (0.000, 0.500, 0.853)
Zn (0.500, 0.000, 0.211)
Zn (0.500, 0.000, 0.353)
Zn (0.500, 0.500, 0.962)
In (0.000, 0.000, 0.617)
In (0.500, 0.500, 0.117)

***

Starting from a DFT-relaxed cell (PBE, Alexandria), the XRD peak list of BaU4S8 was simulated for λ = 1.5418 Å (Cu Kα).
Intensities are scaled so that the largest is 100.

Most intense lines, 2θ = 5–70°, most intense first:
11.62°, rel. 100; 25.79°, rel. 53; 35.20°, rel. 31; 28.43°, rel. 30; 28.25°, rel. 26; 34.92°, rel. 18; 23.36°, rel. 17; 34.83°, rel. 16; 45.52°, rel. 16; 47.00°, rel. 13

Crystal structure
abc: 7.972 7.972 10.195
angles: 125.12 125.12 60.17
Element x y z (fractional)
Ba (0.000, 0.000, 0.000)
U (0.253, 0.747, 0.500)
U (0.265, 0.265, 0.529)
U (0.735, 0.735, 0.471)
U (0.747, 0.253, 0.500)
S (0.000, 0.000, 0.318)
S (0.000, 0.000, 0.682)
S (0.002, 0.471, 0.307)
S (0.471, 0.002, 0.307)
S (0.481, 0.481, 0.302)
S (0.519, 0.519, 0.698)
S (0.529, 0.998, 0.693)
S (0.998, 0.529, 0.693)

***

Starting from a DFT-relaxed cell (PBE, Alexandria), the XRD peak list of FeCo5Ir4 was simulated for λ = 1.5418 Å (Cu Kα).
Intensities are scaled so that the largest is 100.

Most intense lines, 2θ = 5–70°, most intense first:
38.73°, rel. 100; 35.13°, rel. 62; 48.18°, rel. 58; 46.58°, rel. 54; 38.84°, rel. 46; 44.10°, rel. 44; 43.94°, rel. 44; 20.02°, rel. 42; 29.71°, rel. 33; 23.49°, rel. 28

Crystal structure
abc: 7.281 8.183 4.435
angles: 90.00 90.00 90.00
Element x y z (fractional)
Fe (0.250, 0.250, 0.022)
Fe (0.750, 0.750, 0.978)
Co (0.083, 0.001, 0.219)
Co (0.083, 0.499, 0.219)
Co (0.250, 0.750, 0.207)
Co (0.417, 0.001, 0.219)
Co (0.417, 0.499, 0.219)
Co (0.583, 0.501, 0.781)
Co (0.583, 0.999, 0.781)
Co (0.750, 0.250, 0.793)
Co (0.917, 0.501, 0.781)
Co (0.917, 0.999, 0.781)
Ir (0.069, 0.250, 0.538)
Ir (0.250, 0.586, 0.723)
Ir (0.250, 0.914, 0.723)
Ir (0.431, 0.250, 0.538)
Ir (0.569, 0.750, 0.462)
Ir (0.750, 0.086, 0.277)
Ir (0.750, 0.414, 0.277)
Ir (0.931, 0.750, 0.462)

***

Starting from a DFT-relaxed cell (PBE, Alexandria), the XRD peak list of CdHg2Bi2 was simulated for λ = 1.5418 Å (Cu Kα).
Intensities are scaled so that the largest is 100.

Most intense lines, 2θ = 5–70°, most intense first:
30.15°, rel. 100; 40.80°, rel. 47; 37.16°, rel. 31; 51.56°, rel. 23; 67.75°, rel. 21; 65.29°, rel. 20; 23.22°, rel. 19; 25.12°, rel. 18; 45.42°, rel. 10; 56.37°, rel. 9

Crystal structure
abc: 4.423 4.423 9.361
angles: 90.00 90.00 120.00
Element x y z (fractional)
Cd (0.000, 0.000, 0.000)
Hg (0.333, 0.667, 0.174)
Hg (0.667, 0.333, 0.826)
Bi (0.333, 0.667, 0.597)
Bi (0.667, 0.333, 0.403)

***

Starting from a DFT-relaxed cell (PBE, Alexandria), the XRD peak list of Ge9Pd25 was simulated for λ = 1.5418 Å (Cu Kα).
Intensities are scaled so that the largest is 100.

Most intense lines, 2θ = 5–70°, most intense first:
41.41°, rel. 100; 41.87°, rel. 77; 37.71°, rel. 45; 37.46°, rel. 41; 44.87°, rel. 22; 40.52°, rel. 17; 68.39°, rel. 16; 60.35°, rel. 10; 36.73°, rel. 10; 68.06°, rel. 10

Crystal structure
abc: 7.475 7.475 10.741
angles: 90.00 90.00 120.00
Element x y z (fractional)
Ge (0.000, 0.000, 0.000)
Ge (0.008, 0.343, 0.678)
Ge (0.333, 0.667, 0.980)
Ge (0.335, 0.992, 0.678)
Ge (0.343, 0.335, 0.322)
Ge (0.657, 0.665, 0.678)
Ge (0.665, 0.008, 0.322)
Ge (0.667, 0.333, 0.020)
Ge (0.992, 0.657, 0.322)
Pd (0.000, 0.000, 0.248)
Pd (0.000, 0.000, 0.500)
Pd (0.000, 0.000, 0.752)
Pd (0.070, 0.726, 0.080)
Pd (0.073, 0.380, 0.431)
Pd (0.091, 0.673, 0.814)
Pd (0.274, 0.344, 0.080)
Pd (0.307, 0.927, 0.431)
Pd (0.327, 0.418, 0.814)
Pd (0.333, 0.667, 0.243)
Pd (0.333, 0.667, 0.607)
Pd (0.344, 0.070, 0.920)
Pd (0.380, 0.307, 0.569)
Pd (0.418, 0.091, 0.186)
Pd (0.582, 0.909, 0.814)
Pd (0.620, 0.693, 0.431)
Pd (0.656, 0.930, 0.080)
Pd (0.667, 0.333, 0.393)
Pd (0.667, 0.333, 0.757)
Pd (0.673, 0.582, 0.186)
Pd (0.693, 0.073, 0.569)
Pd (0.726, 0.656, 0.920)
Pd (0.909, 0.327, 0.186)
Pd (0.927, 0.620, 0.569)
Pd (0.930, 0.274, 0.920)

***

Starting from a DFT-relaxed cell (PBE, Alexandria), the XRD peak list of Sm4YSc3 was simulated for λ = 1.5418 Å (Cu Kα).
Intensities are scaled so that the largest is 100.

Most intense lines, 2θ = 5–70°, most intense first:
33.34°, rel. 100; 33.45°, rel. 47; 32.25°, rel. 36; 25.03°, rel. 28; 58.23°, rel. 28; 12.46°, rel. 25; 29.07°, rel. 22; 44.00°, rel. 22; 62.26°, rel. 20; 51.70°, rel. 18

Crystal structure
abc: 11.103 7.104 6.116
angles: 90.00 90.00 90.00
Element x y z (fractional)
Sm (0.000, 0.133, 0.000)
Sm (0.000, 0.864, 0.525)
Sm (0.240, 0.133, 0.357)
Sm (0.260, 0.867, 0.857)
Sm (0.500, 0.136, 0.025)
Sm (0.500, 0.867, 0.500)
Sm (0.740, 0.867, 0.857)
Sm (0.760, 0.133, 0.357)
Y (0.000, 0.618, 0.029)
Y (0.500, 0.382, 0.529)
Sc (0.000, 0.387, 0.523)
Sc (0.249, 0.616, 0.353)
Sc (0.251, 0.384, 0.853)
Sc (0.500, 0.613, 0.023)
Sc (0.749, 0.384, 0.853)
Sc (0.751, 0.616, 0.353)

***

Starting from a DFT-relaxed cell (PBE, Alexandria), the XRD peak list of PrInGaPt was simulated for λ = 1.5418 Å (Cu Kα).
Intensities are scaled so that the largest is 100.

Most intense lines, 2θ = 5–70°, most intense first:
36.07°, rel. 100; 64.85°, rel. 36; 51.93°, rel. 18; 21.86°, rel. 12; 42.57°, rel. 7; 56.99°, rel. 3; 69.33°, rel. 2

Crystal structure
abc: 7.043 7.043 7.043
angles: 90.00 90.00 90.00
Element x y z (fractional)
Pr (0.000, 0.000, 0.000)
Pr (0.000, 0.500, 0.500)
Pr (0.500, 0.000, 0.500)
Pr (0.500, 0.500, 0.000)
In (0.000, 0.000, 0.500)
In (0.000, 0.500, 0.000)
In (0.500, 0.000, 0.000)
In (0.500, 0.500, 0.500)
Ga (0.250, 0.250, 0.250)
Ga (0.250, 0.750, 0.750)
Ga (0.750, 0.250, 0.750)
Ga (0.750, 0.750, 0.250)
Pt (0.250, 0.250, 0.750)
Pt (0.250, 0.750, 0.250)
Pt (0.750, 0.250, 0.250)
Pt (0.750, 0.750, 0.750)

***

Starting from a DFT-relaxed cell (PBE, Alexandria), the XRD peak list of Pm5Tm7 was simulated for λ = 1.5418 Å (Cu Kα).
Intensities are scaled so that the largest is 100.

Most intense lines, 2θ = 5–70°, most intense first:
32.89°, rel. 100; 31.08°, rel. 41; 29.91°, rel. 35; 56.46°, rel. 26; 61.18°, rel. 24; 51.28°, rel. 20; 37.34°, rel. 19; 32.97°, rel. 19; 30.01°, rel. 18; 49.37°, rel. 13

Crystal structure
abc: 9.418 9.418 13.059
angles: 117.62 117.62 21.90
Element x y z (fractional)
Pm (0.000, 0.000, 0.000)
Pm (0.165, 0.165, 0.498)
Pm (0.305, 0.305, 0.249)
Pm (0.695, 0.695, 0.751)
Pm (0.835, 0.835, 0.502)
Tm (0.028, 0.028, 0.751)
Tm (0.334, 0.334, 0.003)
Tm (0.363, 0.363, 0.752)
Tm (0.500, 0.500, 0.500)
Tm (0.637, 0.637, 0.248)
Tm (0.666, 0.666, 0.997)
Tm (0.972, 0.972, 0.249)

***

Starting from a DFT-relaxed cell (PBE, Alexandria), the XRD peak list of Tb12CeNd2 was simulated for λ = 1.5418 Å (Cu Kα).
Intensities are scaled so that the largest is 100.

Most intense lines, 2θ = 5–70°, most intense first:
31.76°, rel. 100; 31.40°, rel. 95; 30.14°, rel. 74; 31.61°, rel. 62; 33.43°, rel. 55; 56.09°, rel. 31; 31.08°, rel. 28; 51.48°, rel. 28; 61.55°, rel. 26; 44.98°, rel. 22

Crystal structure
abc: 6.713 6.713 24.532
angles: 94.14 94.14 116.15
Element x y z (fractional)
Tb (0.039, 0.039, 0.373)
Tb (0.094, 0.094, 0.929)
Tb (0.097, 0.601, 0.944)
Tb (0.111, 0.582, 0.430)
Tb (0.205, 0.704, 0.171)
Tb (0.220, 0.732, 0.698)
Tb (0.268, 0.780, 0.302)
Tb (0.296, 0.795, 0.829)
Tb (0.399, 0.903, 0.056)
Tb (0.412, 0.412, 0.075)
Tb (0.418, 0.889, 0.570)
Tb (0.455, 0.455, 0.637)
Tb (0.545, 0.545, 0.363)
Tb (0.582, 0.111, 0.430)
Tb (0.588, 0.588, 0.925)
Tb (0.601, 0.097, 0.944)
Tb (0.704, 0.205, 0.171)
Tb (0.732, 0.220, 0.698)
Tb (0.780, 0.268, 0.302)
Tb (0.795, 0.296, 0.829)
Tb (0.889, 0.418, 0.570)
Tb (0.903, 0.399, 0.056)
Tb (0.906, 0.906, 0.071)
Tb (0.961, 0.961, 0.627)
Ce (0.189, 0.189, 0.510)
Ce (0.811, 0.811, 0.490)
Nd (0.232, 0.232, 0.228)
Nd (0.268, 0.268, 0.772)
Nd (0.732, 0.732, 0.228)
Nd (0.768, 0.768, 0.772)

***

Starting from a DFT-relaxed cell (PBE, Alexandria), the XRD peak list of NdMg2Ga was simulated for λ = 1.5418 Å (Cu Kα).
Intensities are scaled so that the largest is 100.

Most intense lines, 2θ = 5–70°, most intense first:
33.37°, rel. 100; 31.81°, rel. 81; 20.80°, rel. 49; 23.80°, rel. 44; 34.74°, rel. 44; 38.86°, rel. 28; 53.10°, rel. 26; 48.31°, rel. 25; 20.03°, rel. 18; 46.08°, rel. 15

Crystal structure
abc: 4.634 11.006 7.478
angles: 90.00 90.00 90.00
Element x y z (fractional)
Nd (0.000, 0.077, 0.250)
Nd (0.000, 0.923, 0.750)
Nd (0.500, 0.423, 0.750)
Nd (0.500, 0.577, 0.250)
Mg (0.000, 0.363, 0.054)
Mg (0.000, 0.363, 0.446)
Mg (0.000, 0.637, 0.554)
Mg (0.000, 0.637, 0.946)
Mg (0.500, 0.137, 0.554)
Mg (0.500, 0.137, 0.946)
Mg (0.500, 0.863, 0.054)
Mg (0.500, 0.863, 0.446)
Ga (0.000, 0.209, 0.750)
Ga (0.000, 0.791, 0.250)
Ga (0.500, 0.291, 0.250)
Ga (0.500, 0.709, 0.750)

***

Starting from a DFT-relaxed cell (PBE, Alexandria), the XRD peak list of HoGa7Cu5 was simulated for λ = 1.5418 Å (Cu Kα).
Intensities are scaled so that the largest is 100.

Most intense lines, 2θ = 5–70°, most intense first:
40.91°, rel. 100; 40.14°, rel. 60; 34.89°, rel. 54; 42.08°, rel. 46; 40.69°, rel. 39; 34.42°, rel. 32; 45.66°, rel. 30; 41.41°, rel. 30; 41.27°, rel. 29; 45.48°, rel. 29

Crystal structure
abc: 6.692 6.692 5.211
angles: 112.71 112.71 83.00
Element x y z (fractional)
Ho (0.000, 0.000, 0.000)
Ga (0.185, 0.796, 0.490)
Ga (0.229, 0.229, 0.732)
Ga (0.350, 0.663, 0.008)
Ga (0.352, 0.352, 0.353)
Ga (0.653, 0.653, 0.654)
Ga (0.663, 0.350, 0.008)
Ga (0.796, 0.185, 0.490)
Cu (0.494, 0.998, 0.499)
Cu (0.495, 0.999, 0.995)
Cu (0.767, 0.767, 0.265)
Cu (0.998, 0.494, 0.499)
Cu (0.999, 0.495, 0.995)